Starting from a PBE-relaxed structure, the powder X-ray diffraction pattern of CaAl8Ni2 was calculated for Cu Kα X-rays.

Atomic structure:
abc: 12.573 14.551 3.957
angles: 90.00 90.00 90.00
Element x y z (fractional)
Ca  0.158  0.182  0.000
Ca  0.342  0.682  0.000
Ca  0.658  0.318  0.000
Ca  0.842  0.818  0.000
Al  0.000  0.000  0.000
Al  0.000  0.500  0.500
Al  0.025  0.868  0.500
Al  0.047  0.320  0.500
Al  0.100  0.747  0.000
Al  0.159  0.455  0.000
Al  0.163  0.620  0.500
Al  0.167  0.011  0.500
Al  0.239  0.827  0.500
Al  0.261  0.327  0.500
Al  0.333  0.511  0.500
Al  0.337  0.120  0.500
Al  0.341  0.955  0.000
Al  0.400  0.247  0.000
Al  0.453  0.820  0.500
Al  0.475  0.368  0.500
Al  0.500  0.000  0.500
Al  0.500  0.500  0.000
Al  0.525  0.632  0.500
Al  0.547  0.180  0.500
Al  0.600  0.753  0.000
Al  0.659  0.045  0.000
Al  0.663  0.880  0.500
Al  0.667  0.489  0.500
Al  0.739  0.673  0.500
Al  0.761  0.173  0.500
Al  0.833  0.989  0.500
Al  0.837  0.380  0.500
Al  0.841  0.545  0.000
Al  0.900  0.253  0.000
Al  0.953  0.680  0.500
Al  0.975  0.132  0.500
Ni  0.036  0.594  0.000
Ni  0.155  0.904  0.000
Ni  0.345  0.404  0.000
Ni  0.464  0.094  0.000
Ni  0.536  0.906  0.000
Ni  0.655  0.596  0.000
Ni  0.845  0.096  0.000
Ni  0.964  0.406  0.000

The 10 most intense peaks (2θ from 5° to 70°), by angle:
5.771 Å, I 388, (2 1 0); 4.027 Å, I 614, (3 1 0); 3.840 Å, I 422, (2 3 0); 2.619 Å, I 836, (1 4 1); 2.475 Å, I 1000, (3 3 1); 2.068 Å, I 938, (5 4 0); 2.046 Å, I 879, (3 5 1); 2.038 Å, I 901, (5 2 1); 1.979 Å, I 842, (0 0 2); 1.974 Å, I 488, (2 7 0)